Entry 1:
Structure and simulated XRD peak list of ErV2O2 (DFT lattice parameters and positions (GGA+U); Cu Kα (weighted mean of Kα1 and Kα2)).

Principal peaks in the range 10 to 80 degrees two-theta, sorted by position:
2θ 13.88, rel. 599
2θ 24.49, rel. 304
2θ 27.96, rel. 632
2θ 28.54, rel. 1000
2θ 37.05, rel. 532
2θ 50.19, rel. 405

Structural model:
a b c (Å): 7.769 7.769 7.769
angles (deg): 110.60 110.60 107.24
Atoms (fractional coordinates):
Er 0.000 0.000 0.000
Er 0.000 0.000 0.500
Er 0.000 0.500 0.000
Er 0.500 0.000 0.500
V 0.068 0.635 0.433
V 0.297 0.365 0.933
V 0.365 0.297 0.433
V 0.365 0.932 0.067
V 0.635 0.068 0.933
V 0.635 0.703 0.567
V 0.703 0.635 0.067
V 0.932 0.365 0.567
O 0.212 0.312 0.600
O 0.212 0.612 0.900
O 0.312 0.212 0.100
O 0.388 0.788 0.600
O 0.612 0.212 0.400
O 0.688 0.788 0.900
O 0.788 0.388 0.100
O 0.788 0.688 0.400

Entry 2:
Structure and simulated XRD peak list of ErVO4 (DFT lattice parameters and positions (GGA+U); Cu Kα (weighted mean of Kα1 and Kα2)).

Principal peaks in the range 10 to 80 degrees two-theta, sorted by position:
2θ 19.25, rel. 348
2θ 29.63, rel. 1000
2θ 35.48, rel. 198
2θ 48.50, rel. 297
2θ 55.54, rel. 170
2θ 60.16, rel. 300

Structural model:
a b c (Å): 6.644 6.644 6.644
angles (deg): 135.24 135.24 65.16
Atoms (fractional coordinates):
Er 0.375 0.125 0.250
Er 0.625 0.875 0.750
V 0.125 0.375 0.750
V 0.875 0.625 0.250
O 0.056 0.199 0.343
O 0.213 0.556 0.357
O 0.301 0.144 0.857
O 0.356 0.713 0.157
O 0.644 0.287 0.843
O 0.699 0.856 0.143
O 0.787 0.444 0.643
O 0.944 0.801 0.657

Entry 3:
Structure and simulated XRD peak list of ErVO4 (DFT lattice parameters and positions (GGA+U); Cu Kα (weighted mean of Kα1 and Kα2)).

Principal peaks in the range 10 to 80 degrees two-theta, sorted by position:
2θ 18.73, rel. 456
2θ 24.89, rel. 1000
2θ 33.43, rel. 720
2θ 35.48, rel. 221
2θ 49.54, rel. 597
2θ 62.41, rel. 175

Structural model:
a b c (Å): 5.966 5.966 5.966
angles (deg): 106.30 106.30 116.02
Atoms (fractional coordinates):
Er 0.375 0.625 0.750
Er 0.625 0.375 0.250
V 0.125 0.875 0.250
V 0.875 0.125 0.750
O 0.134 0.698 0.436
O 0.238 0.302 0.936
O 0.302 0.238 0.436
O 0.302 0.866 0.064
O 0.698 0.134 0.936
O 0.698 0.762 0.564
O 0.762 0.698 0.064
O 0.866 0.302 0.564

Entry 4:
Structure and simulated XRD peak list of YEr3V4O16 (DFT lattice parameters and positions (GGA+U); Cu Kα (weighted mean of Kα1 and Kα2)).

Principal peaks in the range 10 to 80 degrees two-theta, sorted by position:
2θ 18.69, rel. 387
2θ 24.81, rel. 1000
2θ 33.35, rel. 700
2θ 35.37, rel. 206
2θ 49.41, rel. 590
2θ 62.22, rel. 174

Structural model:
a b c (Å): 5.981 5.981 10.151
angles (deg): 90.00 90.00 116.07
Atoms (fractional coordinates):
Y 0.000 0.000 0.000
Er 0.000 0.500 0.251
Er 0.500 0.000 0.749
Er 0.500 0.500 0.500
V 0.000 0.000 0.500
V 0.000 0.500 0.748
V 0.500 0.000 0.252
V 0.500 0.500 0.000
O 0.083 0.269 0.407
O 0.085 0.769 0.841
O 0.231 0.915 0.159
O 0.232 0.419 0.093
O 0.269 0.083 0.593
O 0.270 0.583 0.656
O 0.417 0.730 0.344
O 0.419 0.232 0.907
O 0.581 0.768 0.907
O 0.583 0.270 0.344
O 0.730 0.417 0.656
O 0.731 0.917 0.593
O 0.768 0.581 0.093
O 0.769 0.085 0.159
O 0.915 0.231 0.841
O 0.917 0.731 0.407

Entry 5:
Structure and simulated XRD peak list of Er2W3O12 (DFT lattice parameters and positions (GGA+U); Cu Kα (weighted mean of Kα1 and Kα2)).

Principal peaks in the range 10 to 80 degrees two-theta, sorted by position:
2θ 25.03, rel. 279
2θ 27.90, rel. 1000
2θ 29.50, rel. 719
2θ 31.22, rel. 281
2θ 46.98, rel. 218
2θ 47.07, rel. 219

Structural model:
a b c (Å): 6.904 6.904 11.363
angles (deg): 100.81 100.81 112.15
Atoms (fractional coordinates):
Er 0.043 0.288 0.093
Er 0.288 0.043 0.593
Er 0.712 0.957 0.407
Er 0.957 0.712 0.907
W 0.132 0.868 0.250
W 0.246 0.461 0.450
W 0.461 0.246 0.950
W 0.539 0.754 0.050
W 0.754 0.539 0.550
W 0.868 0.132 0.750
O 0.079 0.659 0.105
O 0.080 0.180 0.462
O 0.095 0.452 0.297
O 0.130 0.210 0.720
O 0.180 0.080 0.962
O 0.210 0.130 0.220
O 0.232 0.671 0.562
O 0.329 0.768 0.938
O 0.341 0.921 0.395
O 0.396 0.472 0.076
O 0.452 0.095 0.797
O 0.472 0.396 0.576
O 0.528 0.604 0.424
O 0.548 0.905 0.203
O 0.604 0.528 0.924
O 0.659 0.079 0.605
O 0.671 0.232 0.062
O 0.768 0.329 0.438
O 0.790 0.870 0.780
O 0.820 0.920 0.038
O 0.870 0.790 0.280
O 0.905 0.548 0.703
O 0.920 0.820 0.538
O 0.921 0.341 0.895

Entry 6:
Structure and simulated XRD peak list of Eu2HfFeO6 (DFT lattice parameters and positions (GGA+U); Cu Kα (weighted mean of Kα1 and Kα2)).

Principal peaks in the range 10 to 80 degrees two-theta, sorted by position:
2θ 19.09, rel. 110
2θ 31.42, rel. 1000
2θ 45.03, rel. 288
2θ 55.93, rel. 397
2θ 65.57, rel. 177
2θ 74.52, rel. 172

Structural model:
a b c (Å): 5.695 5.695 5.695
angles (deg): 60.00 60.00 60.00
Atoms (fractional coordinates):
Eu 0.250 0.250 0.250
Eu 0.750 0.750 0.750
Hf 0.000 0.000 0.000
Fe 0.500 0.500 0.500
O 0.254 0.254 0.746
O 0.254 0.746 0.254
O 0.254 0.746 0.746
O 0.746 0.254 0.254
O 0.746 0.254 0.746
O 0.746 0.746 0.254

Entry 7:
Structure and simulated XRD peak list of PrEuHfFeO6 (DFT lattice parameters and positions (GGA+U); Cu Kα (weighted mean of Kα1 and Kα2)).

Principal peaks in the range 10 to 80 degrees two-theta, sorted by position:
2θ 19.04, rel. 116
2θ 31.33, rel. 1000
2θ 44.90, rel. 291
2θ 55.77, rel. 398
2θ 65.38, rel. 179
2θ 74.29, rel. 172

Structural model:
a b c (Å): 5.710 5.710 5.710
angles (deg): 60.00 60.00 60.00
Atoms (fractional coordinates):
Pr 0.000 0.000 0.000
Eu 0.500 0.500 0.500
Hf 0.250 0.250 0.250
Fe 0.750 0.750 0.750
O 0.503 0.503 0.997
O 0.503 0.997 0.503
O 0.503 0.997 0.997
O 0.997 0.503 0.503
O 0.997 0.503 0.997
O 0.997 0.997 0.503

Entry 8:
Structure and simulated XRD peak list of SmEuHfFeO6 (DFT lattice parameters and positions (GGA+U); Cu Kα (weighted mean of Kα1 and Kα2)).

Principal peaks in the range 10 to 80 degrees two-theta, sorted by position:
2θ 19.07, rel. 111
2θ 31.39, rel. 1000
2θ 44.99, rel. 289
2θ 55.89, rel. 398
2θ 65.52, rel. 178
2θ 74.45, rel. 172

Structural model:
a b c (Å): 5.699 5.699 5.699
angles (deg): 60.00 60.00 60.00
Atoms (fractional coordinates):
Sm 0.000 0.000 0.000
Eu 0.500 0.500 0.500
Hf 0.250 0.250 0.250
Fe 0.750 0.750 0.750
O 0.503 0.503 0.997
O 0.503 0.997 0.503
O 0.503 0.997 0.997
O 0.997 0.503 0.503
O 0.997 0.503 0.997
O 0.997 0.997 0.503

Entry 9:
Structure and simulated XRD peak list of KEuFe4O12 (DFT lattice parameters and positions (GGA+U); Cu Kα (weighted mean of Kα1 and Kα2)).

Principal peaks in the range 10 to 80 degrees two-theta, sorted by position:
2θ 20.12, rel. 988
2θ 33.09, rel. 1000
2θ 33.25, rel. 520
2θ 39.17, rel. 402
2θ 47.74, rel. 449
2θ 59.31, rel. 411

Structural model:
a b c (Å): 7.626 5.412 5.412
angles (deg): 89.44 90.00 90.00
Atoms (fractional coordinates):
K 0.000 0.000 0.000
Eu 0.500 0.522 0.522
Fe 0.241 0.013 0.511
Fe 0.241 0.511 0.013
Fe 0.759 0.013 0.511
Fe 0.759 0.511 0.013
O 0.000 0.059 0.490
O 0.000 0.490 0.059
O 0.226 0.710 0.710
O 0.273 0.240 0.783
O 0.273 0.783 0.240
O 0.287 0.294 0.294
O 0.500 0.549 0.981
O 0.500 0.981 0.549
O 0.713 0.294 0.294
O 0.727 0.240 0.783
O 0.727 0.783 0.240
O 0.774 0.710 0.710